Structure and simulated powder diffraction line list of La2PmNd2Tm2 (DFT lattice parameters and positions (PBE); CuKα).
Peak positions follow from Bragg's law for the DFT cell and can differ from measured ones.

Top 10 peaks for 2θ from 10° to 80°, sorted by position:
2theta  d (Å)  Rel. int.
30.0  2.975  1000
34.8  2.578  171
34.8  2.576  338
50.1  1.822  362
59.5  1.554  358
59.6  1.552  72
62.4  1.488  63
62.5  1.487  62
73.5  1.289  38
73.6  1.287  19

Cell and atoms:
```
7
Lattice="5.762 -2.577 0.000 5.762 2.577 0.000 -1.168 0.000 8.063" Properties=species:S:1:pos:R:3 pbc="T T T"
La 1.159 0.000 3.458
La 9.197 0.000 4.605
Pm 0.000 0.000 0.000
Nd 4.616 0.000 2.252
Nd 5.740 0.000 5.811
Tm 2.265 0.000 6.951
Tm 8.090 0.000 1.112
```